This entry pairs a crystal structure of V2CrS5 with its simulated XRD peak list. Radiation: Cu Kα X-rays. Structure: the PBE geometry in Alexandria.
Kinematic intensities with the Lorentz-polarization factor, no thermal factor.

Crystal structure
```
data_V2CrS5
_symmetry_space_group_name_H-M 'F m m m'
_symmetry_Int_Tables_number 69
_symmetry_space_group_name_Hall '-F 2 2'
_cell_length_a 4.298
_cell_length_b 12.363
_cell_length_c 12.408
_cell_angle_alpha 90.00
_cell_angle_beta 90.00
_cell_angle_gamma 90.00
loop_
_atom_site_label
_atom_site_type_symbol
_atom_site_fract_x
_atom_site_fract_y
_atom_site_fract_z
_atom_site_occupancy
V1 V 0.000 0.189 0.000 1
Cr1 Cr 0.000 0.000 0.500 1
S1 S 0.000 0.000 0.000 1
S2 S 0.000 0.161 0.382 1
```

Top 10 peaks for 2θ = 5–70°, by angle:
(0 0 2), 2θ = 14.28°, intensity 100
(0 4 2), 2θ = 32.33°, intensity 7
(1 3 3), 2θ = 37.23°, intensity 29
(0 4 4), 2θ = 41.23°, intensity 8
(2 0 0), 2θ = 42.05°, intensity 14
(0 6 0), 2θ = 43.94°, intensity 9
(2 0 2), 2θ = 44.63°, intensity 9
(0 6 2), 2θ = 46.44°, intensity 5
(1 3 5), 2θ = 47.74°, intensity 22
(2 6 0), 2θ = 62.45°, intensity 6